Entry 1:
TiMoC2: computed PXRD pattern (Cu Ka), based on DFT lattice parameters and positions (PBE).
Lines closer than 0.1° are merged.

Top 10 peaks for 10° ≤ 2θ ≤ 90°, by angle:
17.54 deg, 5.057 Å, I 27; 34.31 deg, 2.614 Å, I 16; 35.51 deg, 2.528 Å, I 30; 35.85 deg, 2.505 Å, I 87; 41.53 deg, 2.174 Å, I 100; 59.96 deg, 1.543 Å, I 31; 60.42 deg, 1.532 Å, I 30; 71.66 deg, 1.317 Å, I 11; 72.08 deg, 1.310 Å, I 22; 75.98 deg, 1.252 Å, I 15

Atomic structure:
a b c (Å): 3.0642 3.0642 15.1701
angles (deg): 90.00 90.00 120.00
Space group R-3m (No. 166, hexagonal axes)
Asymmetric unit:
Ti (0.0000, 0.0000, 0.0000) x3
Mo (0.0000, 0.0000, 0.5000) x3
C (0.0000, 0.0000, 0.2515) x6



Entry 2:
TbPrO4: computed PXRD pattern (Cu Ka), based on DFT lattice parameters and positions (PBE).
Lines closer than 0.1° are merged.

Top 10 peaks for 10° ≤ 2θ ≤ 90°, by angle:
27.66 deg, 3.225 Å, I 100; 31.86 deg, 2.809 Å, I 21; 32.41 deg, 2.762 Å, I 10; 45.68 deg, 1.986 Å, I 18; 46.09 deg, 1.969 Å, I 36; 54.24 deg, 1.691 Å, I 31; 54.96 deg, 1.671 Å, I 15; 57.12 deg, 1.613 Å, I 9; 74.17 deg, 1.278 Å, I 12; 84.79 deg, 1.143 Å, I 11

Atomic structure:
a b c (Å): 5.618 5.618 11.048
angles (deg): 90.00 90.00 90.00
Space group I4_1/amd (No. 141, origin choice 2)
Asymmetric unit:
Tb (0.000, 0.250, 0.375) x4
Pr (0.000, 0.250, 0.875) x4
O (0.238, 0.000, 0.500) x16



Entry 3:
Te4MoW2Se2: computed PXRD pattern (Cu Ka), based on DFT lattice parameters and positions (PBE).
Lines closer than 0.1° are merged.

Top 10 peaks for 10° ≤ 2θ ≤ 90°, by angle:
11.03 deg, 8.025 Å, I 100; 13.79 deg, 6.420 Å, I 15; 29.69 deg, 3.009 Å, I 34; 29.82 deg, 2.996 Å, I 17; 34.19 deg, 2.623 Å, I 51; 35.69 deg, 2.516 Å, I 65; 41.12 deg, 2.195 Å, I 29; 43.18 deg, 2.095 Å, I 49; 52.70 deg, 1.737 Å, I 37; 74.17 deg, 1.279 Å, I 15

Atomic structure:
a b c (Å): 3.4750 3.4750 32.0987
angles (deg): 90.00 90.00 120.00
Space group P3m1 (No. 156)
Asymmetric unit:
Te (0.0000, 0.0000, 0.0000) x1
Te (0.0000, 0.0000, 0.1153) x1
Te (0.3333, 0.6667, 0.7689) x1
Te (0.3333, 0.6667, 0.8836) x1
Mo (0.0000, 0.0000, 0.8263) x1
W (0.0000, 0.0000, 0.2890) x1
W (0.3333, 0.6667, 0.0577) x1
Se (0.3333, 0.6667, 0.2382) x1
Se (0.3333, 0.6667, 0.3397) x1